[1]
The following is a theoretical powder X-ray diffraction pattern of HfTaSe. It was derived from a DFT-relaxed cell (PBE, Alexandria), using λ = 1.5418 Å (Cu Kα).

Main lines, most intense first (2θ from 15° to 90°):
Position (°2θ)  intensity  hkl
37.45  1000  1 1 -2
38.21  806  3 1 0
31.48  380  1 1 1
35.89  327  2 0 2
41.59  299  4 0 -2
53.04  232  0 2 0
40.96  228  0 0 3
36.93  208  4 0 -1
61.78  201  3 1 3
42.62  187  3 1 1
42.36  159  4 0 1
72.41  135  7 1 -1

Crystal structure
Cell: 9.8685 3.4531 6.7506 Å, 90.00 101.70 90.00°
Space group Cm (No. 8)
One atom of each set of equivalent atoms:
Hf 0.0000 0.0000 0.0000
Hf 0.2301 0.5000 0.3032
Ta 0.1543 0.5000 0.7398
Ta 0.3649 0.0000 0.6445
Se 0.0242 0.0000 0.4261
Se 0.2893 0.0000 0.0214

---

[2]
The following is a theoretical powder X-ray diffraction pattern of HfTaSe. It was derived from a DFT-relaxed cell (PBE, Alexandria), using λ = 1.5418 Å (Cu Kα).

Main lines, most intense first (2θ from 15° to 90°):
Position (°2θ)  intensity  hkl
38.18  1000  0 2 -1
38.02  997  1 1 -1
31.88  618  0 2 1
43.91  539  0 0 3
32.06  539  1 -1 0
43.48  219  -1 1 2
54.55  215  1 3 1
28.88  210  0 0 2
61.38  184  0 2 4
56.97  178  -1 3 1
35.39  155  1 -1 1
64.69  143  0 4 1

Crystal structure
Cell: 3.2607 5.7661 6.4111 Å, 76.41 82.58 87.86°
Space group P1 (No. 1)
One atom of each set of equivalent atoms:
Hf 0.0000 0.0000 0.0000
Hf 0.3793 0.3463 0.6197
Ta 0.5280 0.5056 0.9986
Ta 0.8540 0.8357 0.6214
Se 0.4301 0.0872 0.3169
Se 0.9435 0.5903 0.3041

---

[3]
The following is a theoretical powder X-ray diffraction pattern of Tb3HfSe6. It was derived from a DFT-relaxed cell (PBE, Alexandria), using λ = 1.5418 Å (Cu Kα).

Main lines, most intense first (2θ from 15° to 90°):
Position (°2θ)  intensity  hkl
37.38  1000  2 1 4
23.15  782  2 1 1
33.64  752  3 1 2
38.43  745  1 4 0
22.30  381  0 0 3
26.58  348  2 -1 3
16.98  343  0 1 2
49.70  285  6 -5 2
54.73  278  6 -4 4
70.29  229  4 5 2
47.33  208  6 -2 2
42.87  206  4 -3 4

Crystal structure
Cell: 12.3934 12.3934 11.9522 Å, 90.00 90.00 120.00°
Space group R-3 (No. 148, hexagonal axes)
One atom of each set of equivalent atoms:
Tb 0.0527 0.4398 0.3183
Hf 0.0000 0.0000 0.0000
Hf 0.0000 0.0000 0.5000
Se 0.0333 0.2062 0.3928
Se 0.0494 0.2004 0.8808

---

[4]
The following is a theoretical powder X-ray diffraction pattern of HfTe2W2Se4. It was derived from a DFT-relaxed cell (PBE, Alexandria), using λ = 1.5418 Å (Cu Kα).

Main lines, most intense first (2θ from 15° to 90°):
Position (°2θ)  intensity  hkl
36.38  1000  1 0 5
30.59  488  1 0 0
44.10  484  0 1 8
54.38  380  1 1 0
32.78  288  1 0 3
34.40  286  0 1 4
47.16  194  0 0 12
38.69  187  0 1 6
55.77  187  1 1 3
67.20  166  0 2 5
15.35  137  0 0 4
74.82  114  1 1 12

Crystal structure
Cell: 3.3745 3.3745 23.0922 Å, 90.00 90.00 120.00°
Space group P3m1 (No. 156)
One atom of each set of equivalent atoms:
Hf 0.0000 0.0000 0.0000
Te 0.6667 0.3333 0.0954
Te 0.6667 0.3333 0.9047
W 0.0000 0.0000 0.6411
W 0.6667 0.3333 0.3348
Se 0.0000 0.0000 0.2628
Se 0.0000 0.0000 0.4068
Se 0.6667 0.3333 0.5690
Se 0.6667 0.3333 0.7131

---

[5]
The following is a theoretical powder X-ray diffraction pattern of Hf2TiSe6. It was derived from a DFT-relaxed cell (PBE, Alexandria), using λ = 1.5418 Å (Cu Kα).

Main lines, most intense first (2θ from 15° to 90°):
Position (°2θ)  intensity  hkl
32.81  1000  1 1 -2
28.18  275  4 0 1
44.84  257  7 1 -2
49.29  210  5 1 2
60.46  173  6 2 0
41.35  166  3 1 -3
44.78  131  2 0 -4
51.07  117  3 1 3
49.20  114  0 2 0
74.92  102  8 2 -4
81.56  94  1 3 -2
35.33  83  5 1 -1

Crystal structure
Cell: 17.5028 3.7032 8.1668 Å, 90.00 110.94 90.00°
Space group C2/m (No. 12)
One atom of each set of equivalent atoms:
Hf 0.1641 0.0000 0.3312
Ti 0.0000 0.5000 0.0000
Se 0.0021 0.0000 0.2252
Se 0.1575 0.5000 0.0909
Se 0.1713 0.5000 0.5732

---

[6]
The following is a theoretical powder X-ray diffraction pattern of HfTiSe. It was derived from a DFT-relaxed cell (PBE, Alexandria), using λ = 1.5418 Å (Cu Kα).

Main lines, most intense first (2θ from 15° to 90°):
Position (°2θ)  intensity  hkl
33.64  1000  1 3 0
34.27  704  0 0 2
48.78  695  1 3 2
37.90  675  1 3 1
44.13  581  0 6 1
21.55  457  0 2 1
71.85  284  1 9 1
66.75  274  2 0 2
26.64  259  0 4 0
73.35  252  2 6 1
27.68  249  1 1 0
55.34  175  2 0 0

Crystal structure
Cell: 3.3203 13.3867 5.2335 Å, 90.00 90.00 90.00°
Space group Cmcm (No. 63)
One atom of each set of equivalent atoms:
Hf 0.0000 0.1354 0.2500
Ti 0.0000 0.4580 0.2500
Se 0.0000 0.1938 0.7500

---

[7]
The following is a theoretical powder X-ray diffraction pattern of Hf6TlSe. It was derived from a DFT-relaxed cell (PBE, Alexandria), using λ = 1.5418 Å (Cu Kα).

Main lines, most intense first (2θ from 15° to 90°):
Position (°2θ)  intensity  hkl
32.33  1000  2 0 0
36.85  651  2 -1 0
36.68  645  1 0 -2
36.96  639  0 2 -1
35.52  621  0 2 1
35.84  613  1 0 2
35.73  611  2 1 0
38.50  467  1 1 2
39.86  415  -1 1 2
40.37  389  2 -1 1
67.61  357  0 4 0
40.20  223  1 2 -1

Crystal structure
Cell: 5.5374 5.5509 5.5532 Å, 87.19 88.30 87.79°
Space group P-1 (No. 2)
One atom of each set of equivalent atoms:
Hf 0.0036 0.2489 0.4879
Hf 0.2492 0.4905 0.0039
Hf 0.4936 0.0013 0.2496
Tl 0.0000 0.0000 0.0000
Se 0.5000 0.5000 0.5000

---

[8]
The following is a theoretical powder X-ray diffraction pattern of HfTlSe3. It was derived from a DFT-relaxed cell (PBE, Alexandria), using λ = 1.5418 Å (Cu Kα).

Main lines, most intense first (2θ from 15° to 90°):
Position (°2θ)  intensity  hkl
21.48  1000  1 1 1
36.19  541  1 1 -3
33.78  493  0 2 0
22.81  463  2 0 -2
25.40  401  4 0 0
39.62  276  5 1 1
41.16  202  2 2 -2
42.74  200  4 2 0
43.74  198  0 0 4
25.67  167  4 0 -1
40.62  148  6 0 -2
44.92  133  5 1 -3

Crystal structure
Cell: 14.2784 5.3063 8.4275 Å, 90.00 100.78 90.00°
Space group C2/m (No. 12)
One atom of each set of equivalent atoms:
Hf 0.1533 0.0000 0.3866
Tl 0.1240 0.5000 0.8660
Se 0.0347 0.0000 0.6434
Se 0.1532 0.0000 0.0959
Se 0.1668 0.5000 0.4576

---

[9]
The following is a theoretical powder X-ray diffraction pattern of HfTlSe3. It was derived from a DFT-relaxed cell (PBE, Alexandria), using λ = 1.5418 Å (Cu Kα).

Main lines, most intense first (2θ from 15° to 90°):
Position (°2θ)  intensity  hkl
32.84  1000  3 1 -2
30.10  510  1 1 -2
30.59  410  4 0 2
26.16  387  1 1 1
35.87  367  5 1 0
35.00  346  6 0 1
22.88  337  2 0 2
46.04  273  1 1 4
54.66  238  9 1 -1
48.00  232  0 2 0
40.66  207  4 0 -4
44.71  193  8 0 -2

Crystal structure
Cell: 16.8722 3.7910 9.6366 Å, 90.00 98.81 90.00°
Space group C2/m (No. 12)
One atom of each set of equivalent atoms:
Hf 0.2041 0.0000 0.3359
Tl 0.1051 0.5000 0.9429
Se 0.0646 0.0000 0.1781
Se 0.1497 0.5000 0.4964
Se 0.2398 0.0000 0.8171

---

[10]
The following is a theoretical powder X-ray diffraction pattern of Tm3HfTl3Se8. It was derived from a DFT-relaxed cell (PBE, Alexandria), using λ = 1.5418 Å (Cu Kα).

Main lines, most intense first (2θ from 15° to 90°):
Position (°2θ)  intensity  hkl
29.62  1000  0 2 4
39.88  371  2 0 8
44.79  342  2 2 0
54.62  179  4 0 4
26.52  162  2 0 2
73.22  151  2 4 4
66.17  127  2 2 12
22.55  111  0 0 6
61.50  107  0 4 8
79.23  103  4 2 8
46.30  99  0 2 10
50.71  88  2 2 6

Crystal structure
Cell: 8.0947 8.0947 23.6615 Å, 90.00 90.00 120.00°
Space group R-3m (No. 166, hexagonal axes)
One atom of each set of equivalent atoms:
Tm 0.0000 0.5000 0.0000
Hf 0.0000 0.0000 0.0000
Tl 0.0000 0.5000 0.5000
Se 0.0000 0.0000 0.2661
Se 0.0138 0.5069 0.7320

---

[11]
The following is a theoretical powder X-ray diffraction pattern of HfTl3V2Se6. It was derived from a DFT-relaxed cell (PBE, Alexandria), using λ = 1.5418 Å (Cu Kα).

Main lines, most intense first (2θ from 15° to 90°):
Position (°2θ)  intensity  hkl
35.43  1000  1 3 2
29.68  435  2 0 1
27.52  334  1 3 0
48.66  316  3 3 0
53.17  165  1 3 -4
21.87  147  0 0 2
82.24  118  1 9 2
61.59  117  2 6 -2
33.06  104  0 0 3
53.26  98  2 0 4
61.66  82  4 0 2
60.14  75  0 6 3

Crystal structure
Cell: 6.4850 11.2207 8.1277 Å, 90.00 90.15 90.00°
Space group C2/m (No. 12)
One atom of each set of equivalent atoms:
Hf 0.0000 0.0000 0.0000
Tl 0.0000 0.0000 0.5000
Tl 0.0000 0.3336 0.5000
V 0.0000 0.3333 0.0000
Se 0.1566 0.5000 0.1831
Se 0.1727 0.1720 0.1832

---

[12]
The following is a theoretical powder X-ray diffraction pattern of TmHf2Se6. It was derived from a DFT-relaxed cell (PBE, Alexandria), using λ = 1.5418 Å (Cu Kα).

Main lines, most intense first (2θ from 15° to 90°):
Position (°2θ)  intensity  hkl
19.46  1000  1 1 0
38.63  897  2 1 3
48.16  471  3 0 3
26.44  421  1 0 3
29.90  411  1 1 3
39.50  366  2 2 0
50.30  240  1 1 6
84.49  191  5 2 3
62.13  187  2 2 6
45.90  178  0 0 6
77.86  166  4 3 3
30.99  139  2 1 0

Crystal structure
Cell: 6.4525 6.4525 11.8624 Å, 90.00 90.00 90.00°
Space group P4_2/mnm (No. 136)
One atom of each set of equivalent atoms:
Tm 0.0000 0.0000 0.0000
Hf 0.0000 0.0000 0.3345
Se 0.1935 0.1935 0.5000
Se 0.2050 0.2050 0.1761

---

[13]
The following is a theoretical powder X-ray diffraction pattern of Tm3HfSe6. It was derived from a DFT-relaxed cell (PBE, Alexandria), using λ = 1.5418 Å (Cu Kα).

Main lines, most intense first (2θ from 15° to 90°):
Position (°2θ)  intensity  hkl
34.95  1000  3 -1 4
24.19  790  3 -1 1
40.96  702  4 1 0
34.54  701  4 -1 2
19.18  461  0 0 3
26.66  374  3 -2 2
21.77  301  2 0 2
42.02  285  1 1 6
45.60  221  5 -4 3
24.57  219  2 -1 3
50.36  186  2 2 6
54.91  185  2 4 4

Crystal structure
Cell: 11.6588 11.6588 13.8794 Å, 90.00 90.00 120.00°
Space group R-3 (No. 148, hexagonal axes)
One atom of each set of equivalent atoms:
Tm 0.0584 0.6087 0.3626
Hf 0.0000 0.0000 0.0000
Hf 0.0000 0.0000 0.5000
Se 0.0183 0.8165 0.8927
Se 0.0343 0.8374 0.3836